No. 1
Diffraction record for Li17CaSm. The powder diffraction line list is calculated, not measured: it uses a cell relaxed with PBE and Cu Kα, 1.54184 Å.
Intensities are scaled so that the largest is 100.

Structural model:
Unit cell a=9.9609 b=9.9609 c=14.6865 alpha=90.00 beta=90.00 gamma=120.00
Space group R3m (No. 160, hexagonal axes)
Unique sites:
1 Li 0.0000 0.0000 0.0500 x3
2 Li 0.0000 0.0000 0.2468 x3
3 Li 0.0036 0.2984 0.1482 x18
4 Li 0.0085 0.5042 0.6470 x9
5 Li 0.0098 0.5049 0.0000 x9
6 Li 0.0122 0.5061 0.2976 x9
7 Ca 0.0000 0.0000 0.7996 x3
8 Sm 0.0000 0.0000 0.4877 x3

Main lines, sorted by position (15° ≤ 2θ ≤ 90°):
Position (°2θ)	I (rel.)
15.85	61
17.81	100
18.12	32
21.47	39
25.51	100
26.38	32
28.03	41
31.10	39
36.07	32
36.23	59

No. 2
Diffraction record for RbTc2S3. The powder diffraction line list is calculated, not measured: it uses a cell relaxed with PBE and Cu Kα, 1.54184 Å.
Intensities are scaled so that the largest is 100.

Structural model:
Unit cell a=23.5198 b=3.5995 c=7.1431 alpha=90.00 beta=101.04 gamma=90.00
Space group C2/m (No. 12)
Unique sites:
1 Rb 0.0995 0.0000 0.0644 x4
2 Tc 0.0605 0.5000 0.5429 x4
3 Tc 0.2149 0.0000 0.5589 x4
4 S 0.0018 0.5000 0.2494 x4
5 S 0.1200 0.0000 0.5886 x4
6 S 0.2410 0.0000 0.2631 x4

Main lines, sorted by position (15° ≤ 2θ ≤ 90°):
Position (°2θ)	I (rel.)
23.12	57
25.10	49
25.41	46
27.35	100
27.79	43
29.26	39
35.47	88
36.34	42
43.30	76
45.90	46

No. 3
Diffraction record for La3Mg3Al8. The powder diffraction line list is calculated, not measured: it uses a cell relaxed with PBE and Cu Kα, 1.54184 Å.
Intensities are scaled so that the largest is 100.

Structural model:
Unit cell a=4.4998 b=10.1454 c=13.8297 alpha=90.00 beta=90.00 gamma=90.00
Space group Immm (No. 71)
Unique sites:
1 La 0.0000 0.0000 0.0000 x2
2 La 0.0000 0.0000 0.3027 x4
3 Mg 0.0000 0.2078 0.5000 x4
4 Mg 0.0000 0.5000 0.0000 x2
5 Al 0.0000 0.2736 0.1471 x8
6 Al 0.0000 0.3687 0.3375 x8

Main lines, sorted by position (15° ≤ 2θ ≤ 90°):
Position (°2θ)	I (rel.)
17.48	32
21.17	39
21.60	49
27.70	34
32.85	32
32.95	100
33.14	41
33.87	21
40.08	26
53.77	17

No. 4
Diffraction record for CaTlPd6. The powder diffraction line list is calculated, not measured: it uses a cell relaxed with PBE and Cu Kα, 1.54184 Å.
Intensities are scaled so that the largest is 100.

Structural model:
Unit cell a=5.8475 b=5.8475 c=4.6805 alpha=90.00 beta=90.00 gamma=120.00
Space group P-6m2 (No. 187)
Unique sites:
1 Ca 0.0000 0.0000 0.0000 x1
2 Tl 0.6667 0.3333 0.5000 x1
3 Pd 0.0050 0.5025 0.0000 x3
4 Pd 0.1725 0.3451 0.5000 x3

Main lines, sorted by position (15° ≤ 2θ ≤ 90°):
Position (°2θ)	I (rel.)
17.51	13
35.45	26
36.23	6
38.47	26
40.51	100
53.30	16
63.65	17
70.96	19
76.89	19
78.22	14